Diffraction record for NpB4Ir5. The X-ray powder pattern is computed, not measured: it uses a DFT-relaxed cell (PBE, Alexandria) and Cu Kα.
Lines closer than 0.1° are merged.

Peak list (8 most intense, 15 to 90 degrees two-theta, sorted by position)
| 2θ (°) | d/Å | I (rel.) | (hkl) |
| --- | --- | --- | --- |
| 30.7 | 2.911 | 58 | 2 0 1 |
| 33.4 | 2.682 | 34 | 2 1 1 |
| 36.9 | 2.438 | 82 | 2 2 0 |
| 42.4 | 2.134 | 100 | 2 0 2 |
| 42.7 | 2.117 | 46 | 3 0 1 |
| 53.1 | 1.724 | 22 | 4 0 0 |
| 70.2 | 1.341 | 21 | 4 2 2 |
| 76.4 | 1.246 | 23 | 5 2 1 |

Atomic structure:
Cell: 6.895 6.895 5.432 Å, 90.00 90.00 90.00°
Sites, in units of the cell vectors:
Np 0.250 0.750 0.000
Np 0.750 0.250 0.000
B 0.040 0.250 0.410
B 0.250 0.040 0.410
B 0.250 0.460 0.410
B 0.460 0.250 0.410
B 0.540 0.750 0.590
B 0.750 0.540 0.590
B 0.750 0.960 0.590
B 0.960 0.750 0.590
Ir 0.040 0.040 0.731
Ir 0.040 0.460 0.731
Ir 0.250 0.250 0.106
Ir 0.460 0.040 0.731
Ir 0.460 0.460 0.731
Ir 0.540 0.540 0.269
Ir 0.540 0.960 0.269
Ir 0.750 0.750 0.894
Ir 0.960 0.540 0.269
Ir 0.960 0.960 0.269